Record 1
The following is a calculated powder diffractogram of Zr2AgO4. It was derived from DFT lattice parameters and positions (PBE), using copper Kα.

Cell and atoms:
abc: 6.577 6.577 6.577
angles: 60.00 60.00 60.00
Sites, in units of the cell vectors:
Zr1 0.000 0.000 0.000
Zr2 0.000 0.000 0.500
Zr3 0.000 0.500 0.000
Zr4 0.500 0.000 0.000
Ag1 0.375 0.375 0.375
Ag2 0.625 0.625 0.625
O1 0.193 0.769 0.769
O2 0.231 0.231 0.231
O3 0.231 0.231 0.807
O4 0.231 0.807 0.231
O5 0.769 0.193 0.769
O6 0.769 0.769 0.193
O7 0.769 0.769 0.769
O8 0.807 0.231 0.231

Main lines, by angle (5 to 70 degrees two-theta):
2theta  I/Imax
27.11  36.7
31.91  100.0
33.37  16.1
38.72  8.9
47.91  13.1
51.02  40.5
55.92  39.9
63.23  4.9
65.84  12.2
66.70  8.8

Record 2
The following is a calculated powder diffractogram of AgOsPd2. It was derived from DFT lattice parameters and positions (PBE), using copper Kα.

Cell and atoms:
abc: 4.447 4.447 4.447
angles: 60.00 60.00 60.00
Sites, in units of the cell vectors:
Ag1 0.000 0.000 0.000
Os1 0.750 0.750 0.750
Pd1 0.250 0.250 0.250
Pd2 0.500 0.500 0.500

Main lines, by angle (5 to 70 degrees two-theta):
2theta  I/Imax
24.52  5.4
28.38  2.6
40.57  100.0
47.97  3.0
50.25  0.8
58.72  16.6
64.59  1.3
66.48  1.1

Record 3
The following is a calculated powder diffractogram of AgOsPt. It was derived from DFT lattice parameters and positions (PBE), using copper Kα.

Cell and atoms:
abc: 4.277 4.277 4.277
angles: 60.00 60.00 60.00
Sites, in units of the cell vectors:
Ag1 0.000 0.000 0.000
Os1 0.500 0.500 0.500
Pt1 0.250 0.250 0.250

Main lines, by angle (5 to 70 degrees two-theta):
2theta  I/Imax
25.51  43.9
29.53  6.4
42.26  100.0
50.01  22.0
52.40  1.6
61.30  16.6
67.49  9.2
69.49  2.0

Record 4
The following is a calculated powder diffractogram of Ag3OsS4. It was derived from DFT lattice parameters and positions (PBE), using copper Kα.

Cell and atoms:
abc: 6.806 6.806 6.806
angles: 129.67 129.67 73.93
Sites, in units of the cell vectors:
Ag1 0.000 0.000 0.000
Ag2 0.250 0.750 0.500
Ag3 0.750 0.250 0.500
Os1 0.500 0.500 0.000
S1 0.162 0.162 0.550
S2 0.389 0.838 0.000
S3 0.611 0.611 0.450
S4 0.838 0.389 0.000

Main lines, by angle (5 to 70 degrees two-theta):
2theta  I/Imax
17.36  7.8
27.27  100.0
30.90  19.4
32.94  8.2
44.27  18.5
45.79  33.5
52.78  30.4
55.44  13.0
56.27  7.6
64.39  5.6